Entry 1:
Diffraction record for PaZnCd2Pt2. The XRD peak list is computed, not measured: it uses a crystal structure in Alexandria, relaxed with PBE and Cu Kα (weighted mean of Kα1 and Kα2).
Peak positions follow from Bragg's law for the DFT cell and can differ from measured ones.

Peak list (10 most intense, 10 to 80 degrees two-theta, low angle first)
2theta  I_rel
24.43  264
27.86  231
33.51  845
34.28  269
35.19  1000
39.48  262
41.45  348
42.94  454
46.13  343
64.85  283

Structure:
```
data_PaZnCd2Pt2
_cell_length_a 3.9352
_cell_length_b 8.4050
_cell_length_c 7.3015
_cell_angle_alpha 90.00
_cell_angle_beta 90.00
_cell_angle_gamma 90.00
_symmetry_space_group_name_H-M 'P m c 21'
_symmetry_Int_Tables_number 26
loop_
_symmetry_equiv_pos_as_xyz
'x,y,z'
'-x,-y,z+1/2'
'-x,y,z'
'x,-y,z+1/2'
loop_
_atom_site_label
_atom_site_type_symbol
_atom_site_fract_x
_atom_site_fract_y
_atom_site_fract_z
Pa1 Pa 0.0000 0.0773 0.0000
Zn1 Zn 0.5000 0.1929 0.6600
Cd1 Cd 0.0000 0.3266 0.4106
Cd2 Cd 0.5000 0.4200 0.0846
Pt1 Pt 0.0000 0.3562 0.7995
Pt2 Pt 0.5000 0.1024 0.2904
```

***

Entry 2:
Diffraction record for GeIrPbO6. The XRD peak list is computed, not measured: it uses a crystal structure in Alexandria, relaxed with PBE and Cu Kα (weighted mean of Kα1 and Kα2).
Peak positions follow from Bragg's law for the DFT cell and can differ from measured ones.

Peak list (10 most intense, 10 to 80 degrees two-theta, low angle first)
2theta  I_rel
17.18  590
25.84  190
29.51  1000
31.20  576
34.77  146
38.65  401
47.91  239
52.95  166
54.48  226
61.25  180

Structure:
```
data_GeIrPbO6
_cell_length_a 6.8961
_cell_length_b 7.1276
_cell_length_c 10.3212
_cell_angle_alpha 90.00
_cell_angle_beta 90.00
_cell_angle_gamma 90.00
_symmetry_space_group_name_H-M 'I m m a'
_symmetry_Int_Tables_number 74
_symmetry_space_group_name_Hall '-I 2b 2'
loop_
_atom_site_label
_atom_site_type_symbol
_atom_site_fract_x
_atom_site_fract_y
_atom_site_fract_z
Ge1 Ge 0.2500 0.2500 0.2500
Ir1 Ir 0.0000 0.0000 0.0000
Pb1 Pb 0.0000 0.2500 0.5244
O1 O 0.0000 0.2500 0.3031
O2 O 0.0000 0.2500 0.9270
O3 O 0.2166 0.0658 0.1135
```

***

Entry 3:
Diffraction record for Pa2HgSb4. The XRD peak list is computed, not measured: it uses a crystal structure in Alexandria, relaxed with PBE and Cu Kα (weighted mean of Kα1 and Kα2).
Peak positions follow from Bragg's law for the DFT cell and can differ from measured ones.

Peak list (10 most intense, 10 to 80 degrees two-theta, low angle first)
2theta  I_rel
22.19  209
26.84  147
33.27  104
33.96  1000
34.88  176
40.76  110
41.52  317
55.32  190
60.18  107
70.93  240

Structure:
```
data_Pa2HgSb4
_cell_length_a 4.3495
_cell_length_b 4.3495
_cell_length_c 10.2885
_cell_angle_alpha 90.00
_cell_angle_beta 90.00
_cell_angle_gamma 90.00
_symmetry_space_group_name_H-M 'P -4 m 2'
_symmetry_Int_Tables_number 115
loop_
_symmetry_equiv_pos_as_xyz
'x,y,z'
'y,-x,-z'
'-x,-y,z'
'-y,x,-z'
'-x,y,z'
'-y,-x,-z'
'x,-y,z'
'y,x,-z'
loop_
_atom_site_label
_atom_site_type_symbol
_atom_site_fract_x
_atom_site_fract_y
_atom_site_fract_z
Pa1 Pa 0.0000 0.5000 0.2327
Hg1 Hg 0.0000 0.0000 0.5000
Sb1 Sb 0.0000 0.0000 0.0000
Sb2 Sb 0.0000 0.5000 0.7027
Sb3 Sb 0.5000 0.5000 0.0000
```

***

Entry 4:
Diffraction record for Li4Mg4Cd. The XRD peak list is computed, not measured: it uses a crystal structure in Alexandria, relaxed with PBE and Cu Kα (weighted mean of Kα1 and Kα2).
Peak positions follow from Bragg's law for the DFT cell and can differ from measured ones.

Peak list (10 most intense, 10 to 80 degrees two-theta, low angle first)
2theta  I_rel
13.67  1000
19.38  122
22.18  174
27.54  188
29.62  633
35.64  645
41.84  204
45.62  193
59.62  137
72.38  149

Structure:
```
data_Li4Mg4Cd
_cell_length_a 9.1606
_cell_length_b 9.1606
_cell_length_c 4.4572
_cell_angle_alpha 90.00
_cell_angle_beta 90.00
_cell_angle_gamma 90.00
_symmetry_space_group_name_H-M 'I 4/m m m'
_symmetry_Int_Tables_number 139
_symmetry_space_group_name_Hall '-I 4 2'
loop_
_atom_site_label
_atom_site_type_symbol
_atom_site_fract_x
_atom_site_fract_y
_atom_site_fract_z
Li1 Li 0.0000 0.3312 0.0000
Mg1 Mg 0.1659 0.1659 0.5000
Cd1 Cd 0.0000 0.0000 0.0000
```

***

Entry 5:
Diffraction record for LiNCl. The XRD peak list is computed, not measured: it uses a crystal structure in Alexandria, relaxed with PBE and Cu Kα (weighted mean of Kα1 and Kα2).
Peak positions follow from Bragg's law for the DFT cell and can differ from measured ones.

Peak list (10 most intense, 10 to 80 degrees two-theta, low angle first)
2theta  I_rel
10.39  678
20.87  209
25.85  1000
26.01  995
29.25  596
31.53  147
33.41  121
41.84  253
43.33  155
49.79  178

Structure:
```
data_LiNCl
_cell_length_a 9.0188
_cell_length_b 6.1087
_cell_length_c 6.1037
_cell_angle_alpha 90.00
_cell_angle_beta 109.27
_cell_angle_gamma 90.00
_symmetry_space_group_name_H-M 'P 1 21/c 1'
_symmetry_Int_Tables_number 14
loop_
_symmetry_equiv_pos_as_xyz
'x,y,z'
'-x,-y,-z'
'-x,y+1/2,-z+1/2'
'x,-y+1/2,z+1/2'
loop_
_atom_site_label
_atom_site_type_symbol
_atom_site_fract_x
_atom_site_fract_y
_atom_site_fract_z
Li1 Li 0.0000 0.2502 0.0000
N1 N 0.5000 0.0906 0.0098
Cl1 Cl 0.1207 0.0000 0.3087
```

***

Entry 6:
Diffraction record for Tb2Al4ZnPd3. The XRD peak list is computed, not measured: it uses a crystal structure in Alexandria, relaxed with PBE and Cu Kα (weighted mean of Kα1 and Kα2).
Peak positions follow from Bragg's law for the DFT cell and can differ from measured ones.

Peak list (10 most intense, 10 to 80 degrees two-theta, low angle first)
2theta  I_rel
30.21  262
31.36  217
32.96  749
34.63  1000
43.25  532
47.65  369
55.42  339
62.82  173
66.29  272
73.76  216

Structure:
```
data_Tb2Al4ZnPd3
_cell_length_a 4.1842
_cell_length_b 4.1842
_cell_length_c 10.7238
_cell_angle_alpha 90.00
_cell_angle_beta 90.00
_cell_angle_gamma 90.00
_symmetry_space_group_name_H-M 'P -4 m 2'
_symmetry_Int_Tables_number 115
loop_
_symmetry_equiv_pos_as_xyz
'x,y,z'
'y,-x,-z'
'-x,-y,z'
'-y,x,-z'
'-x,y,z'
'-y,-x,-z'
'x,-y,z'
'y,x,-z'
loop_
_atom_site_label
_atom_site_type_symbol
_atom_site_fract_x
_atom_site_fract_y
_atom_site_fract_z
Tb1 Tb 0.0000 0.5000 0.2484
Al1 Al 0.0000 0.0000 0.0000
Al2 Al 0.0000 0.5000 0.6344
Al3 Al 0.5000 0.5000 0.0000
Zn1 Zn 0.0000 0.0000 0.5000
Pd1 Pd 0.0000 0.5000 0.8655
Pd2 Pd 0.5000 0.5000 0.5000
```

***

What did the first record say?
Diffraction record for PaZnCd2Pt2. The XRD peak list is computed, not measured: it uses a crystal structure in Alexandria, relaxed with PBE and Cu Kα (weighted mean of Kα1 and Kα2).
Peak positions follow from Bragg's law for the DFT cell and can differ from measured ones.

Peak list (10 most intense, 10 to 80 degrees two-theta, low angle first)
2theta  I_rel
24.43  264
27.86  231
33.51  845
34.28  269
35.19  1000
39.48  262
41.45  348
42.94  454
46.13  343
64.85  283

Structure:
```
data_PaZnCd2Pt2
_cell_length_a 3.9352
_cell_length_b 8.4050
_cell_length_c 7.3015
_cell_angle_alpha 90.00
_cell_angle_beta 90.00
_cell_angle_gamma 90.00
_symmetry_space_group_name_H-M 'P m c 21'
_symmetry_Int_Tables_number 26
loop_
_symmetry_equiv_pos_as_xyz
'x,y,z'
'-x,-y,z+1/2'
'-x,y,z'
'x,-y,z+1/2'
loop_
_atom_site_label
_atom_site_type_symbol
_atom_site_fract_x
_atom_site_fract_y
_atom_site_fract_z
Pa1 Pa 0.0000 0.0773 0.0000
Zn1 Zn 0.5000 0.1929 0.6600
Cd1 Cd 0.0000 0.3266 0.4106
Cd2 Cd 0.5000 0.4200 0.0846
Pt1 Pt 0.0000 0.3562 0.7995
Pt2 Pt 0.5000 0.1024 0.2904
```

***

Please write out number 5 again, unchanged.
Diffraction record for LiNCl. The XRD peak list is computed, not measured: it uses a crystal structure in Alexandria, relaxed with PBE and Cu Kα (weighted mean of Kα1 and Kα2).
Peak positions follow from Bragg's law for the DFT cell and can differ from measured ones.

Peak list (10 most intense, 10 to 80 degrees two-theta, low angle first)
2theta  I_rel
10.39  678
20.87  209
25.85  1000
26.01  995
29.25  596
31.53  147
33.41  121
41.84  253
43.33  155
49.79  178

Structure:
```
data_LiNCl
_cell_length_a 9.0188
_cell_length_b 6.1087
_cell_length_c 6.1037
_cell_angle_alpha 90.00
_cell_angle_beta 109.27
_cell_angle_gamma 90.00
_symmetry_space_group_name_H-M 'P 1 21/c 1'
_symmetry_Int_Tables_number 14
loop_
_symmetry_equiv_pos_as_xyz
'x,y,z'
'-x,-y,-z'
'-x,y+1/2,-z+1/2'
'x,-y+1/2,z+1/2'
loop_
_atom_site_label
_atom_site_type_symbol
_atom_site_fract_x
_atom_site_fract_y
_atom_site_fract_z
Li1 Li 0.0000 0.2502 0.0000
N1 N 0.5000 0.0906 0.0098
Cl1 Cl 0.1207 0.0000 0.3087
```

***

Copy entry 4 word for word.
Diffraction record for Li4Mg4Cd. The XRD peak list is computed, not measured: it uses a crystal structure in Alexandria, relaxed with PBE and Cu Kα (weighted mean of Kα1 and Kα2).
Peak positions follow from Bragg's law for the DFT cell and can differ from measured ones.

Peak list (10 most intense, 10 to 80 degrees two-theta, low angle first)
2theta  I_rel
13.67  1000
19.38  122
22.18  174
27.54  188
29.62  633
35.64  645
41.84  204
45.62  193
59.62  137
72.38  149

Structure:
```
data_Li4Mg4Cd
_cell_length_a 9.1606
_cell_length_b 9.1606
_cell_length_c 4.4572
_cell_angle_alpha 90.00
_cell_angle_beta 90.00
_cell_angle_gamma 90.00
_symmetry_space_group_name_H-M 'I 4/m m m'
_symmetry_Int_Tables_number 139
_symmetry_space_group_name_Hall '-I 4 2'
loop_
_atom_site_label
_atom_site_type_symbol
_atom_site_fract_x
_atom_site_fract_y
_atom_site_fract_z
Li1 Li 0.0000 0.3312 0.0000
Mg1 Mg 0.1659 0.1659 0.5000
Cd1 Cd 0.0000 0.0000 0.0000
```